Record 1
Structure and computed X-ray powder pattern of TiPt8Rh2 (a PBE-relaxed structure; Cu Kα X-rays).
Peak positions follow from Bragg's law for the DFT cell and can differ from measured ones.

Structure:
a = 6.7953 Å, b = 6.7953 Å, c = 4.0090 Å
α = 90.00°, β = 90.00°, γ = 105.99°
Element x y z (fractional)
Ti1 0.0000 0.0000 0.0000
Pt1 0.0407 0.3001 0.5000
Pt2 0.2392 0.7608 0.0000
Pt3 0.3001 0.0407 0.5000
Pt4 0.3278 0.3278 0.0000
Pt5 0.6722 0.6722 0.0000
Pt6 0.6999 0.9593 0.5000
Pt7 0.7608 0.2392 0.0000
Pt8 0.9593 0.6999 0.5000
Rh1 0.3818 0.6182 0.5000
Rh2 0.6182 0.3818 0.5000

Top 6 peaks for 5° ≤ 2θ ≤ 70°, low angle first:
d [Å]	two_theta	I (rel.)
3.266	27.3	22
2.532	35.4	31
2.247	40.1	100
2.208	40.9	78
2.177	41.5	33
2.005	45.2	37

=====

Record 2
Structure and computed X-ray powder pattern of TiPtRh3 (a PBE-relaxed structure; Cu Kα X-rays).
Peak positions follow from Bragg's law for the DFT cell and can differ from measured ones.

Structure:
a = 8.6207 Å, b = 3.9296 Å, c = 6.1053 Å
α = 90.00°, β = 134.91°, γ = 90.00°
Element x y z (fractional)
Ti1 0.0000 0.0000 0.0000
Ti2 0.5000 0.5000 0.0000
Pt1 0.1971 0.0000 0.5965
Pt2 0.6971 0.5000 0.5965
Rh1 0.1016 0.5000 0.8033
Rh2 0.2978 0.5000 0.4012
Rh3 0.3937 0.0000 0.2011
Rh4 0.6016 0.0000 0.8033
Rh5 0.7978 0.0000 0.4012
Rh6 0.8937 0.5000 0.2011

Top 6 peaks for 5° ≤ 2θ ≤ 70°, low angle first:
d [Å]	two_theta	I (rel.)
4.320	20.6	11
3.304	27.0	11
2.242	40.2	100
1.965	46.2	16
1.931	47.1	31
1.377	68.1	20

=====

Record 3
Structure and computed X-ray powder pattern of Ti3Pt2Rh2 (a PBE-relaxed structure; Cu Kα X-rays).
Peak positions follow from Bragg's law for the DFT cell and can differ from measured ones.

Structure:
a = 8.5759 Å, b = 3.9260 Å, c = 6.5620 Å
α = 90.00°, β = 103.96°, γ = 90.00°
Element x y z (fractional)
Ti1 0.0000 0.0000 0.0000
Ti2 0.0975 0.5000 0.7076
Ti3 0.4025 0.0000 0.2924
Ti4 0.5000 0.5000 0.0000
Ti5 0.5975 0.0000 0.7076
Ti6 0.9025 0.5000 0.2924
Pt1 0.1314 0.0000 0.4143
Pt2 0.3686 0.5000 0.5857
Pt3 0.6314 0.5000 0.4143
Pt4 0.8686 0.0000 0.5857
Rh1 0.1972 0.5000 0.1256
Rh2 0.3028 0.0000 0.8744
Rh3 0.6972 0.0000 0.1256
Rh4 0.8028 0.5000 0.8744

Top 6 peaks for 5° ≤ 2θ ≤ 70°, low angle first:
d [Å]	two_theta	I (rel.)
6.368	13.9	27
2.974	30.0	26
2.281	39.5	100
2.258	39.9	94
2.108	42.9	39
1.963	46.2	33

=====

Please write out number 3 again, unchanged.
Structure and computed X-ray powder pattern of Ti3Pt2Rh2 (a PBE-relaxed structure; Cu Kα X-rays).
Peak positions follow from Bragg's law for the DFT cell and can differ from measured ones.

Structure:
a = 8.5759 Å, b = 3.9260 Å, c = 6.5620 Å
α = 90.00°, β = 103.96°, γ = 90.00°
Element x y z (fractional)
Ti1 0.0000 0.0000 0.0000
Ti2 0.0975 0.5000 0.7076
Ti3 0.4025 0.0000 0.2924
Ti4 0.5000 0.5000 0.0000
Ti5 0.5975 0.0000 0.7076
Ti6 0.9025 0.5000 0.2924
Pt1 0.1314 0.0000 0.4143
Pt2 0.3686 0.5000 0.5857
Pt3 0.6314 0.5000 0.4143
Pt4 0.8686 0.0000 0.5857
Rh1 0.1972 0.5000 0.1256
Rh2 0.3028 0.0000 0.8744
Rh3 0.6972 0.0000 0.1256
Rh4 0.8028 0.5000 0.8744

Top 6 peaks for 5° ≤ 2θ ≤ 70°, low angle first:
d [Å]	two_theta	I (rel.)
6.368	13.9	27
2.974	30.0	26
2.281	39.5	100
2.258	39.9	94
2.108	42.9	39
1.963	46.2	33